# 1
Diffraction record for RbTlH. The powder X-ray diffraction pattern is computed, not measured: it uses a cell relaxed with GGA-PBE and copper Kα.
Lines closer than 0.1° are merged.

Principal peaks in the range 5° ≤ 2θ ≤ 70°, low angle first:
| 2theta | I_rel |
| --- | --- |
| 16.56 | 25 |
| 26.76 | 100 |
| 28.01 | 88 |
| 30.84 | 69 |
| 33.47 | 27 |
| 35.20 | 16 |
| 42.49 | 15 |
| 46.15 | 45 |
| 51.67 | 33 |
| 53.84 | 29 |

Cell and atoms:
abc: 3.963 4.255 5.355
angles: 90.00 90.00 90.00
Positions (direct):
Rb 0.000 0.000 0.000
Tl 0.500 0.500 0.466
H 0.000 0.500 0.671

# 2
Diffraction record for In3HgPb. The powder X-ray diffraction pattern is computed, not measured: it uses a cell relaxed with GGA-PBE and copper Kα.
Lines closer than 0.1° are merged.

Principal peaks in the range 5° ≤ 2θ ≤ 70°, low angle first:
| 2theta | I_rel |
| --- | --- |
| 24.35 | 12 |
| 29.11 | 57 |
| 29.17 | 11 |
| 34.64 | 100 |
| 34.80 | 36 |
| 45.82 | 10 |
| 45.91 | 10 |
| 58.76 | 13 |
| 62.09 | 25 |
| 62.23 | 8 |

Cell and atoms:
abc: 5.180 5.180 12.607
angles: 90.17 90.17 60.00
Positions (direct):
In 0.000 0.000 0.000
In 0.000 0.000 0.326
In 0.333 0.333 0.119
In 0.333 0.333 0.619
In 0.666 0.666 0.826
In 0.667 0.667 0.500
Hg 0.333 0.333 0.378
Hg 0.333 0.333 0.878
Pb 0.000 0.000 0.691
Pb 0.667 0.667 0.191

# 3
Diffraction record for Sr3Y3ZnS8. The powder X-ray diffraction pattern is computed, not measured: it uses a cell relaxed with GGA-PBE and copper Kα.
Lines closer than 0.1° are merged.

Principal peaks in the range 5° ≤ 2θ ≤ 70°, low angle first:
| 2theta | I_rel |
| --- | --- |
| 12.96 | 7 |
| 15.48 | 9 |
| 26.10 | 10 |
| 27.26 | 22 |
| 31.25 | 100 |
| 44.03 | 35 |
| 45.51 | 34 |
| 53.22 | 8 |
| 56.24 | 17 |
| 65.18 | 10 |

Cell and atoms:
abc: 8.235 8.235 8.235
angles: 57.89 57.89 57.89
Positions (direct):
Sr 0.000 0.500 0.500
Sr 0.500 0.000 0.500
Sr 0.500 0.500 0.000
Y 0.000 0.000 0.500
Y 0.000 0.500 0.000
Y 0.500 0.000 0.000
Zn 0.500 0.500 0.500
S 0.243 0.243 0.243
S 0.250 0.733 0.733
S 0.267 0.267 0.750
S 0.267 0.750 0.267
S 0.733 0.250 0.733
S 0.733 0.733 0.250
S 0.750 0.267 0.267
S 0.757 0.757 0.757

# 4
Diffraction record for Ti2Nb6Re. The powder X-ray diffraction pattern is computed, not measured: it uses a cell relaxed with GGA-PBE and copper Kα.
Lines closer than 0.1° are merged.

Principal peaks in the range 5° ≤ 2θ ≤ 70°, low angle first:
| 2theta | I_rel |
| --- | --- |
| 15.10 | 13 |
| 33.64 | 21 |
| 37.42 | 33 |
| 38.48 | 100 |
| 38.84 | 22 |
| 39.13 | 90 |
| 43.73 | 20 |
| 46.41 | 18 |
| 56.35 | 14 |
| 62.31 | 15 |

Cell and atoms:
abc: 8.153 8.456 4.599
angles: 90.00 90.00 90.00
Positions (direct):
Ti 0.165 0.238 0.000
Ti 0.335 0.738 0.500
Ti 0.665 0.262 0.500
Ti 0.835 0.762 0.000
Nb 0.001 0.677 0.500
Nb 0.165 0.909 0.000
Nb 0.168 0.569 0.000
Nb 0.332 0.069 0.500
Nb 0.335 0.409 0.500
Nb 0.499 0.177 0.000
Nb 0.501 0.823 0.000
Nb 0.665 0.591 0.500
Nb 0.668 0.931 0.500
Nb 0.832 0.431 0.000
Nb 0.835 0.091 0.000
Nb 0.999 0.323 0.500
Re 0.000 0.000 0.500
Re 0.500 0.500 0.000

# 5
Diffraction record for Ce5TmRu4. The powder X-ray diffraction pattern is computed, not measured: it uses a cell relaxed with GGA-PBE and copper Kα.
Lines closer than 0.1° are merged.

Principal peaks in the range 5° ≤ 2θ ≤ 70°, low angle first:
| 2theta | I_rel |
| --- | --- |
| 26.02 | 62 |
| 27.71 | 69 |
| 29.40 | 22 |
| 30.13 | 27 |
| 31.28 | 78 |
| 38.07 | 23 |
| 39.80 | 100 |
| 45.80 | 31 |
| 55.51 | 30 |
| 56.49 | 25 |

Cell and atoms:
abc: 7.928 9.456 6.797
angles: 90.00 90.00 90.00
Positions (direct):
Ce 0.016 0.059 0.222
Ce 0.016 0.441 0.222
Ce 0.250 0.750 0.396
Ce 0.484 0.059 0.222
Ce 0.484 0.441 0.222
Ce 0.516 0.559 0.778
Ce 0.516 0.941 0.778
Ce 0.750 0.250 0.604
Ce 0.984 0.559 0.778
Ce 0.984 0.941 0.778
Tm 0.250 0.250 0.753
Tm 0.750 0.750 0.247
Ru 0.072 0.750 0.014
Ru 0.250 0.007 0.489
Ru 0.250 0.493 0.489
Ru 0.428 0.750 0.014
Ru 0.572 0.250 0.986
Ru 0.750 0.507 0.511
Ru 0.750 0.993 0.511
Ru 0.928 0.250 0.986

What is the formula in the fourth record? Ti2Nb6Re

What is the formula in the second record? In3HgPb